1.
# Na5B6C4
Simulated powder X-ray diffraction pattern, Cu Kα. Input: a cell relaxed with GGA-PBE.
Intensities are scaled so that the largest is 100.

Structure:
Cell: 2.833 24.977 8.485 Å, 90.00 90.00 90.00°
Space group Cmcm (No. 63)
Unique sites:
Na  0.000  0.000  0.000 [4 per cell]
Na  0.000  0.200  0.003 [8 per cell]
Na  0.000  0.400  0.501 [8 per cell]
B  0.000  0.067  0.750 [4 per cell]
B  0.000  0.127  0.250 [4 per cell]
B  0.000  0.261  0.750 [4 per cell]
B  0.000  0.333  0.750 [4 per cell]
B  0.000  0.337  0.250 [4 per cell]
B  0.000  0.470  0.750 [4 per cell]
C  0.000  0.063  0.250 [4 per cell]
C  0.000  0.132  0.750 [4 per cell]
C  0.000  0.270  0.250 [4 per cell]
C  0.000  0.465  0.250 [4 per cell]

Top 10 peaks for 10° ≤ 2θ ≤ 90°, in order of falling intensity:
2theta  I (rel.)  index
42.42  100  1 5 2
41.98  51  0 10 2
42.62  39  0 0 4
36.46  18  1 5 0
64.96  17  1 15 0
80.85  17  1 15 4
77.88  13  1 5 6
81.30  11  2 10 2
57.31  10  1 5 4
35.96  9  0 10 0

=====

2.
# La2Pr5Mg
Simulated powder X-ray diffraction pattern, Cu Kα. Input: a cell relaxed with GGA-PBE.
Intensities are scaled so that the largest is 100.

Structure:
Cell: 7.305 10.349 7.311 Å, 90.00 90.00 90.00°
Space group Imm2 (No. 44)
Unique sites:
La  0.000  0.000  0.000 [2 per cell]
La  0.000  0.000  0.499 [2 per cell]
Pr  0.000  0.500  0.997 [2 per cell]
Pr  0.250  0.249  0.748 [8 per cell]
Mg  0.000  0.500  0.499 [2 per cell]

Top 10 peaks for 10° ≤ 2θ ≤ 90°, in order of falling intensity:
2theta  I (rel.)  index
29.93  100  2 2 0
34.70  51  2 0 2
59.28  43  4 2 2
49.89  36  4 0 0
81.06  15  4 6 2
83.63  13  4 4 4
62.20  12  4 4 0
14.84  6  0 1 1
28.63  4  0 3 1
17.15  4  0 2 0

=====

3.
# Tb2YEr9
Simulated powder X-ray diffraction pattern, Cu Kα. Input: a cell relaxed with GGA-PBE.
Intensities are scaled so that the largest is 100.

Structure:
Cell: 11.1220 11.1220 3.4815 Å, 90.00 90.00 120.00°
Space group P6/mmm (No. 191)
Unique sites:
Tb  0.3333  0.6667  0.0000 [2 per cell]
Y  0.0000  0.0000  0.0000 [1 per cell]
Er  0.0000  0.5000  0.0000 [3 per cell]
Er  0.1764  0.3527  0.5000 [6 per cell]

Top 10 peaks for 10° ≤ 2θ ≤ 90°, in order of falling intensity:
2theta  I (rel.)  index
32.19  100  2 2 0
31.71  51  2 0 1
63.00  29  2 2 2
35.68  25  2 1 1
30.29  22  1 1 1
57.10  18  4 2 1
57.40  18  6 0 0
45.82  18  4 0 1
81.58  13  6 0 2
38.13  13  3 0 1

=====

4.
# Tb4TmAl4
Simulated powder X-ray diffraction pattern, Cu Kα. Input: a cell relaxed with GGA-PBE.
Intensities are scaled so that the largest is 100.

Structure:
Cell: 8.787 8.787 5.837 Å, 90.00 90.00 90.00°
Space group P4_2/n (No. 86, origin choice 2)
Unique sites:
Tb  0.082  0.824  0.130 [8 per cell]
Tm  0.250  0.250  0.750 [2 per cell]
Al  0.057  0.156  0.353 [8 per cell]

Top 10 peaks for 10° ≤ 2θ ≤ 90°, in order of falling intensity:
2theta  I (rel.)  index
32.22  100  3 1 0
32.32  82  1 0 2
34.25  78  3 0 1
18.25  66  1 0 1
27.36  61  2 1 1
40.10  60  2 3 1
35.79  47  1 3 1
53.20  47  4 1 2
32.65  42  2 2 1
25.37  29  2 0 1

=====

5.
# Ca3Ac8Nd2
Simulated powder X-ray diffraction pattern, Cu Kα. Input: a cell relaxed with GGA-PBE.
Intensities are scaled so that the largest is 100.

Structure:
Cell: 22.898 12.734 3.950 Å, 90.00 99.89 90.00°
Space group C2/m (No. 12)
Unique sites:
Ca  0.000  0.000  0.000 [2 per cell]
Ca  0.000  0.258  0.500 [4 per cell]
Ac  0.079  0.500  0.077 [4 per cell]
Ac  0.137  0.000  0.638 [4 per cell]
Ac  0.174  0.254  0.175 [8 per cell]
Nd  0.222  0.500  0.722 [4 per cell]

Top 10 peaks for 10° ≤ 2θ ≤ 90°, in order of falling intensity:
2theta  I (rel.)  index
29.13  100  2 2 1
28.03  52  0 4 0
27.55  37  6 2 0
28.46  32  5 1 -1
28.57  27  7 1 0
34.85  24  5 3 -1
33.27  22  4 2 1
50.29  21  2 6 1
45.35  18  7 5 0
58.41  18  12 4 -1

=====

6.
# U2Co3Ir3
Simulated powder X-ray diffraction pattern, Cu Kα. Input: a cell relaxed with GGA-PBE.
Intensities are scaled so that the largest is 100.

Structure:
Cell: 3.895 3.957 7.882 Å, 90.00 90.00 90.00°
Space group Pmmm (No. 47)
Unique sites:
U  0.000  0.000  0.244 [2 per cell]
Co  0.500  0.000  0.000 [1 per cell]
Co  0.500  0.500  0.247 [2 per cell]
Ir  0.000  0.500  0.000 [1 per cell]
Ir  0.000  0.500  0.500 [1 per cell]
Ir  0.500  0.000  0.500 [1 per cell]

Top 10 peaks for 10° ≤ 2θ ≤ 90°, in order of falling intensity:
2theta  I (rel.)  index
39.72  100  1 1 2
45.86  17  0 2 0
46.06  16  0 0 4
46.64  16  2 0 0
22.83  14  1 0 0
80.68  13  1 3 2
80.97  13  1 1 6
81.82  13  3 1 2
32.05  13  0 1 2
85.60  11  2 2 4

=====

7.
# CrAs2Se
Simulated powder X-ray diffraction pattern, Cu Kα. Input: a cell relaxed with GGA-PBE.
Intensities are scaled so that the largest is 100.

Structure:
Cell: 3.1567 3.1567 26.6152 Å, 90.00 90.00 120.00°
Space group R3m (No. 160, hexagonal axes)
Unique sites:
Cr  0.0000  0.0000  0.0000 [3 per cell]
As  0.0000  0.0000  0.2661 [3 per cell]
As  0.0000  0.0000  0.5257 [3 per cell]
Se  0.0000  0.0000  0.7250 [3 per cell]

Top 10 peaks for 10° ≤ 2θ ≤ 90°, in order of falling intensity:
2theta  I (rel.)  index
35.50  100  1 0 4
50.36  35  0 1 11
40.65  32  1 0 7
58.48  29  1 1 0
42.81  24  0 1 8
81.64  19  1 1 15
20.02  16  0 0 6
36.97  15  0 1 5
70.31  13  0 2 4
51.50  13  0 0 15

=====

8.
# K2Cd3SnAu4
Simulated powder X-ray diffraction pattern, Cu Kα. Input: a cell relaxed with GGA-PBE.
Intensities are scaled so that the largest is 100.

Structure:
Cell: 4.920 4.920 11.129 Å, 90.00 90.00 90.00°
Space group P-4m2 (No. 115)
Unique sites:
K  0.000  0.500  0.238 [2 per cell]
Cd  0.000  0.500  0.872 [2 per cell]
Cd  0.500  0.500  0.500 [1 per cell]
Sn  0.000  0.000  0.500 [1 per cell]
Au  0.000  0.000  0.000 [1 per cell]
Au  0.000  0.500  0.622 [2 per cell]
Au  0.500  0.500  0.000 [1 per cell]

Top 10 peaks for 10° ≤ 2θ ≤ 90°, in order of falling intensity:
2theta  I (rel.)  index
41.56  100  1 1 4
36.52  92  2 0 0
30.30  84  1 1 2
19.73  60  1 0 1
15.93  58  0 0 2
30.17  47  1 0 3
69.18  45  3 1 4
52.61  32  2 2 0
61.91  28  3 1 2
48.08  25  2 1 3